Record 1
Calculated X-ray diffraction stick pattern
Compound: SrTbNi2As2
Radiation: Cu Kα X-rays
Structure: a structure optimized by DFT (PBE)

Principal peaks in the range 2θ = 10–80°, sorted by position:
two_theta  intensity
10.58  17
25.13  7
33.14  100
41.21  6
43.28  13
44.28  42
56.41  21
63.64  25
72.94  8
74.38  19

a b c (Å): 4.0915 4.0915 8.3617
angles (deg): 90.00 90.00 120.00
Space group P-3m1 (No. 164)
Unique sites:
Sr 0.0000 0.0000 0.0000 x1
Tb 0.0000 0.0000 0.5000 x1
Ni 0.3333 0.6667 0.7290 x2
As 0.3333 0.6667 0.2685 x2


Record 2
Calculated X-ray diffraction stick pattern
Compound: AgIO2F2
Radiation: Cu Kα X-rays
Structure: a structure optimized by DFT (PBE)

Principal peaks in the range 2θ = 10–80°, sorted by position:
two_theta  intensity
24.90  49
25.58  50
30.61  100
35.99  21
47.56  37
48.34  34
51.07  10
57.62  11
61.39  18
63.73  10

a b c (Å): 7.153 6.966 7.203
angles (deg): 90.00 90.00 90.00
Space group Cmcm (No. 63)
Unique sites:
Ag 0.000 0.000 0.000 x4
I 0.000 0.479 0.250 x4
O 0.000 0.312 0.055 x8
F 0.219 0.038 0.750 x8


Record 3
Calculated X-ray diffraction stick pattern
Compound: Ba2Sn2Pt3
Radiation: Cu Kα X-rays
Structure: a structure optimized by DFT (PBE)

Principal peaks in the range 2θ = 10–80°, sorted by position:
two_theta  intensity
16.59  49
22.86  24
31.56  76
33.54  21
35.86  37
38.90  100
42.56  29
50.93  21
52.29  36
62.39  25

a b c (Å): 4.6300 4.6300 32.0586
angles (deg): 90.00 90.00 120.00
Space group R3m (No. 160, hexagonal axes)
Unique sites:
Ba 0.0000 0.0000 0.0000 x3
Ba 0.0000 0.0000 0.4963 x3
Sn 0.0000 0.0000 0.2475 x3
Sn 0.0000 0.0000 0.7471 x3
Pt 0.0000 0.0000 0.3985 x3
Pt 0.0000 0.0000 0.5972 x3
Pt 0.0000 0.0000 0.8957 x3


Record 4
Calculated X-ray diffraction stick pattern
Compound: CsAlPdF6
Radiation: Cu Kα X-rays
Structure: a structure optimized by DFT (PBE)

Principal peaks in the range 2θ = 10–80°, sorted by position:
two_theta  intensity
17.92  21
24.96  29
25.11  46
29.06  100
29.32  42
29.79  67
30.90  25
39.21  28
46.58  48
51.53  46

a b c (Å): 7.251 7.135 9.899
angles (deg): 90.00 90.00 90.00
Space group Pnma (No. 62)
Unique sites:
Cs 0.009 0.250 0.141 x4
Al 0.000 0.000 0.500 x4
Pd 0.242 0.250 0.753 x4
F 0.003 0.250 0.502 x4
F 0.010 0.750 0.157 x4
F 0.167 0.507 0.635 x8
F 0.186 0.002 0.379 x8